The following is a theoretical powder diffractogram of SmNpTaN3. It was derived from DFT lattice parameters and positions (PBE), using Cu Kα.
Kinematic intensities with the Lorentz-polarization factor, no thermal factor.

Atomic structure:
Lattice parameters (Å, degrees): 7.224 3.315 8.078 90.00 90.68 90.00
Fractional coordinates of all 12 atoms:
Sm 0.133 0.250 0.169
Sm 0.867 0.750 0.831
Np 0.379 0.750 0.845
Np 0.621 0.250 0.155
Ta 0.139 0.250 0.572
Ta 0.861 0.750 0.428
N 0.145 0.250 0.843
N 0.156 0.750 0.413
N 0.394 0.750 0.108
N 0.606 0.250 0.892
N 0.844 0.250 0.587
N 0.855 0.750 0.157

Main lines, by angle (2θ = 10–90°):
(1 0 -1), 2θ = 16.37°, rel. 70
(2 0 -1), 2θ = 26.92°, rel. 24
(0 1 1), 2θ = 29.12°, rel. 26
(1 1 1), 2θ = 31.75°, rel. 29
(2 0 -2), 2θ = 33.08°, rel. 37
(0 0 3), 2θ = 33.28°, rel. 37
(2 0 2), 2θ = 33.48°, rel. 42
(0 1 2), 2θ = 35.02°, rel. 78
(2 1 0), 2θ = 36.80°, rel. 100
(2 1 -3), 2θ = 50.24°, rel. 28
(4 0 0), 2θ = 50.54°, rel. 21
(2 0 -5), 2θ = 62.72°, rel. 26

---

The following is a theoretical powder diffractogram of Sr5Np2N6. It was derived from DFT lattice parameters and positions (PBE), using Cu Kα.
Kinematic intensities with the Lorentz-polarization factor, no thermal factor.

Atomic structure:
Lattice parameters (Å, degrees): 12.185 12.300 3.673 90.00 90.00 90.00
Fractional coordinates of all 26 atoms:
Sr 0.000 0.000 0.000
Sr 0.051 0.271 0.000
Sr 0.221 0.516 0.000
Sr 0.279 0.016 0.000
Sr 0.449 0.771 0.000
Sr 0.500 0.500 0.000
Sr 0.551 0.229 0.000
Sr 0.721 0.984 0.000
Sr 0.779 0.484 0.000
Sr 0.949 0.729 0.000
Np 0.219 0.772 0.500
Np 0.281 0.272 0.500
Np 0.719 0.728 0.500
Np 0.781 0.228 0.500
N 0.141 0.839 0.000
N 0.159 0.382 0.500
N 0.161 0.139 0.500
N 0.339 0.639 0.500
N 0.341 0.882 0.500
N 0.359 0.339 0.000
N 0.641 0.661 0.000
N 0.659 0.118 0.500
N 0.661 0.361 0.500
N 0.839 0.861 0.500
N 0.841 0.618 0.500
N 0.859 0.161 0.000

Main lines, by angle (2θ = 10–90°):
(0 2 0), 2θ = 14.40°, rel. 58
(2 0 0), 2θ = 14.54°, rel. 65
(0 2 1), 2θ = 28.34°, rel. 95
(0 4 0), 2θ = 29.04°, rel. 44
(4 0 0), 2θ = 29.31°, rel. 43
(4 1 0), 2θ = 30.23°, rel. 35
(2 2 1), 2θ = 31.96°, rel. 100
(2 3 1), 2θ = 36.00°, rel. 25
(2 4 1), 2θ = 41.05°, rel. 22
(4 2 1), 2θ = 41.20°, rel. 32
(4 4 0), 2θ = 41.74°, rel. 21
(6 1 1), 2θ = 51.99°, rel. 34

---

Repeat the second record exactly.
The following is a theoretical powder diffractogram of Sr5Np2N6. It was derived from DFT lattice parameters and positions (PBE), using Cu Kα.
Kinematic intensities with the Lorentz-polarization factor, no thermal factor.

Atomic structure:
Lattice parameters (Å, degrees): 12.185 12.300 3.673 90.00 90.00 90.00
Fractional coordinates of all 26 atoms:
Sr 0.000 0.000 0.000
Sr 0.051 0.271 0.000
Sr 0.221 0.516 0.000
Sr 0.279 0.016 0.000
Sr 0.449 0.771 0.000
Sr 0.500 0.500 0.000
Sr 0.551 0.229 0.000
Sr 0.721 0.984 0.000
Sr 0.779 0.484 0.000
Sr 0.949 0.729 0.000
Np 0.219 0.772 0.500
Np 0.281 0.272 0.500
Np 0.719 0.728 0.500
Np 0.781 0.228 0.500
N 0.141 0.839 0.000
N 0.159 0.382 0.500
N 0.161 0.139 0.500
N 0.339 0.639 0.500
N 0.341 0.882 0.500
N 0.359 0.339 0.000
N 0.641 0.661 0.000
N 0.659 0.118 0.500
N 0.661 0.361 0.500
N 0.839 0.861 0.500
N 0.841 0.618 0.500
N 0.859 0.161 0.000

Main lines, by angle (2θ = 10–90°):
(0 2 0), 2θ = 14.40°, rel. 58
(2 0 0), 2θ = 14.54°, rel. 65
(0 2 1), 2θ = 28.34°, rel. 95
(0 4 0), 2θ = 29.04°, rel. 44
(4 0 0), 2θ = 29.31°, rel. 43
(4 1 0), 2θ = 30.23°, rel. 35
(2 2 1), 2θ = 31.96°, rel. 100
(2 3 1), 2θ = 36.00°, rel. 25
(2 4 1), 2θ = 41.05°, rel. 22
(4 2 1), 2θ = 41.20°, rel. 32
(4 4 0), 2θ = 41.74°, rel. 21
(6 1 1), 2θ = 51.99°, rel. 34